Entry 1:
Structure and calculated X-ray diffraction stick pattern of LiAlB4 (a crystal structure in the Materials Project, relaxed with PBE; Cu Kα X-rays).

Structure:
Lattice parameters (Å, degrees): 5.9003 11.3328 3.3215 90.00 90.00 90.00
Space group Pbam (No. 55)
Inequivalent atoms, fractional coordinates:
Li 0.1273 0.1498 0.0000 x4
Al 0.1432 0.4074 0.0000 x4
B 0.0191 0.6969 0.5000 x4
B 0.1164 0.5500 0.5000 x4
B 0.1319 0.9714 0.5000 x4
B 0.1980 0.8133 0.5000 x4

The 10 most intense peaks (10 to 90 degrees two-theta), by intensity:
(1 2 0), 2θ = 21.75°, I 100
(1 1 0), 2θ = 16.94°, I 93
(2 1 1), 2θ = 41.72°, I 63
(2 3 1), 2θ = 47.75°, I 63
(0 4 1), 2θ = 41.91°, I 41
(1 4 1), 2θ = 44.76°, I 39
(0 2 0), 2θ = 15.64°, I 38
(0 0 2), 2θ = 55.32°, I 30
(3 1 1), 2θ = 54.85°, I 20
(2 3 0), 2θ = 38.73°, I 20



Entry 2:
Structure and calculated X-ray diffraction stick pattern of LiAlB14 (a crystal structure in the Materials Project, relaxed with PBE; Cu Kα X-rays).

Structure:
Lattice parameters (Å, degrees): 5.8540 10.3465 8.1322 90.00 90.00 90.00
Space group Imma (No. 74)
Inequivalent atoms, fractional coordinates:
Li 0.0000 0.2500 0.1498 x4
Al 0.2500 0.2500 0.7500 x4
B 0.0000 0.0854 0.6701 x8
B 0.0000 0.1495 0.8804 x8
B 0.0000 0.1665 0.4682 x8
B 0.1588 0.0621 0.3356 x16
B 0.2489 0.0797 0.5436 x16

The 10 most intense peaks (10 to 90 degrees two-theta), by intensity:
(0 1 1), 2θ = 13.85°, I 100
(2 3 1), 2θ = 41.98°, I 26
(1 0 1), 2θ = 18.68°, I 24
(2 2 2), 2θ = 41.85°, I 23
(0 6 0), 2θ = 53.14°, I 16
(0 3 1), 2θ = 28.09°, I 15
(0 3 3), 2θ = 42.41°, I 14
(1 2 3), 2θ = 40.61°, I 13
(2 1 5), 2θ = 66.37°, I 11
(0 4 2), 2θ = 41.37°, I 10



Entry 3:
Structure and calculated X-ray diffraction stick pattern of LiAlB2O5 (a crystal structure in the Materials Project, relaxed with PBE; Cu Kα X-rays).

Structure:
Lattice parameters (Å, degrees): 10.0694 10.1948 9.4691 90.00 120.28 90.00
Space group C2/c (No. 15)
Inequivalent atoms, fractional coordinates:
Li 0.0000 0.1233 0.2500 x4
Li 0.0000 0.3397 0.7500 x4
Al 0.1952 0.3487 0.1521 x8
B 0.0682 0.1718 0.5286 x8
B 0.2329 0.4950 0.9083 x8
O 0.0563 0.2247 0.1057 x8
O 0.1214 0.2064 0.6869 x8
O 0.1402 0.0739 0.4823 x8
O 0.1578 0.4826 0.2450 x8
O 0.1880 0.3948 0.9705 x8

The 10 most intense peaks (10 to 90 degrees two-theta), by intensity:
(2 2 -1), 2θ = 24.86°, I 100
(2 2 -2), 2θ = 27.41°, I 31
(3 3 -2), 2θ = 38.22°, I 26
(2 0 -2), 2θ = 21.02°, I 20
(2 2 0), 2θ = 26.95°, I 20
(0 2 1), 2θ = 20.53°, I 19
(2 0 0), 2θ = 20.43°, I 16
(3 1 0), 2θ = 32.11°, I 14
(1 1 1), 2θ = 20.25°, I 12
(1 1 -2), 2θ = 20.70°, I 12